Diffraction record for ReWN. The powder XRD pattern is computed, not measured: it uses a cell relaxed with PBE and Cu Kα.
Intensities are scaled so that the largest is 100.

Peak list (10 most intense, 10° ≤ 2θ ≤ 80°, low angle first)
37.0°, rel. 100; 37.2°, rel. 18; 40.0°, rel. 15; 44.3°, rel. 40; 55.7°, rel. 11; 59.2°, rel. 9; 61.2°, rel. 17; 64.5°, rel. 13; 73.9°, rel. 10; 76.7°, rel. 25

Cell: 5.352 5.352 5.352 Å, 135.12 135.12 65.35°
Fractional coordinates of all 6 atoms:
Re: 0.000 0.000 0.000
Re: 0.750 0.250 0.500
W: 0.307 0.807 0.500
W: 0.557 0.557 0.000
N: 0.064 0.564 0.500
N: 0.314 0.314 0.000